Structure and simulated PXRD pattern of Ba3VZn2O8 (the PBE+U geometry in Alexandria; Cu Kα).
No peak broadening, texture or thermal motion is included.

Cell: 5.742 5.742 7.583 Å, 90.00 90.00 120.00°
Fractional positions:
1 Ba 0.000 0.000 0.000
2 Ba 0.333 0.667 0.649
3 Ba 0.667 0.333 0.351
4 V 0.000 0.000 0.500
5 Zn 0.333 0.667 0.228
6 Zn 0.667 0.333 0.772
7 O 0.155 0.311 0.350
8 O 0.155 0.845 0.350
9 O 0.311 0.155 0.650
10 O 0.333 0.667 0.983
11 O 0.667 0.333 0.017
12 O 0.689 0.845 0.350
13 O 0.845 0.155 0.650
14 O 0.845 0.689 0.650

Main lines, by intensity (2θ = 10–90°):
d (Å)	Position (°2θ)	I (rel.)	(hkl)
2.871	31.15	100	1 1 0
3.015	29.63	78	0 1 2
2.079	43.52	42	2 0 2
1.684	54.49	28	1 2 2
4.159	21.37	21	1 0 1
1.296	73.02	19	3 1 2
1.658	55.43	19	3 0 0
1.772	51.58	17	1 0 4
1.436	64.96	16	2 2 0
1.508	61.50	15	0 2 4